For RbAg7S4, DFT lattice parameters and positions (PBE) gives the computed powder XRD pattern in this record (Cu Ka).

Structure:
Cell: 11.214 11.214 8.525 Å, 90.00 90.00 90.00°
Atoms (fractional coordinates):
1 Rb 0.250 0.250 0.124
2 Rb 0.250 0.250 0.624
3 Rb 0.750 0.750 0.376
4 Rb 0.750 0.750 0.876
5 Ag 0.000 0.000 0.000
6 Ag 0.000 0.500 0.000
7 Ag 0.022 0.962 0.661
8 Ag 0.038 0.522 0.339
9 Ag 0.108 0.790 0.384
10 Ag 0.113 0.769 0.877
11 Ag 0.210 0.608 0.616
12 Ag 0.231 0.613 0.123
13 Ag 0.269 0.887 0.123
14 Ag 0.290 0.892 0.616
15 Ag 0.387 0.731 0.877
16 Ag 0.392 0.710 0.384
17 Ag 0.462 0.978 0.339
18 Ag 0.478 0.538 0.661
19 Ag 0.500 0.000 0.000
20 Ag 0.500 0.500 0.000
21 Ag 0.522 0.462 0.339
22 Ag 0.538 0.022 0.661
23 Ag 0.608 0.290 0.616
24 Ag 0.613 0.269 0.123
25 Ag 0.710 0.108 0.384
26 Ag 0.731 0.113 0.877
27 Ag 0.769 0.387 0.877
28 Ag 0.790 0.392 0.384
29 Ag 0.887 0.231 0.123
30 Ag 0.892 0.210 0.616
31 Ag 0.962 0.478 0.661
32 Ag 0.978 0.038 0.339
33 S 0.002 0.695 0.624
34 S 0.007 0.692 0.133
35 S 0.192 0.993 0.867
36 S 0.195 0.998 0.376
37 S 0.305 0.502 0.376
38 S 0.308 0.507 0.867
39 S 0.493 0.808 0.133
40 S 0.498 0.805 0.624
41 S 0.502 0.195 0.376
42 S 0.507 0.192 0.867
43 S 0.692 0.493 0.133
44 S 0.695 0.498 0.624
45 S 0.805 0.002 0.624
46 S 0.808 0.007 0.133
47 S 0.993 0.308 0.867
48 S 0.998 0.305 0.376

Largest 6 diffraction maxima, in order of falling intensity, 2θ from 10° to 80°:
- 31.86 deg, rel. 1000
- 11.16 deg, rel. 885
- 35.77 deg, rel. 842
- 39.29 deg, rel. 678
- 35.41 deg, rel. 303
- 47.26 deg, rel. 263



For LuCuPbS3, DFT lattice parameters and positions (PBE) gives the computed powder XRD pattern in this record (Cu Ka).

Structure:
Cell: 6.781 6.781 10.017 Å, 90.00 90.00 146.59°
Atoms (fractional coordinates):
1 Lu 0.002 0.998 0.500
2 Lu 0.998 0.002 0.000
3 Cu 0.465 0.535 0.249
4 Cu 0.535 0.465 0.749
5 Pb 0.255 0.745 0.778
6 Pb 0.745 0.255 0.278
7 S 0.072 0.928 0.249
8 S 0.364 0.636 0.059
9 S 0.364 0.636 0.440
10 S 0.636 0.364 0.559
11 S 0.636 0.364 0.940
12 S 0.928 0.072 0.749

Largest 6 diffraction maxima, in order of falling intensity, 2θ from 10° to 80°:
- 22.42 deg, rel. 1000
- 32.16 deg, rel. 890
- 35.83 deg, rel. 868
- 45.68 deg, rel. 617
- 27.46 deg, rel. 468
- 25.46 deg, rel. 448



For MgZnAu2, DFT lattice parameters and positions (PBE) gives the computed powder XRD pattern in this record (Cu Ka).

Structure:
Cell: 4.590 4.590 4.590 Å, 60.00 60.00 60.00°
Atoms (fractional coordinates):
1 Mg 0.000 0.000 0.000
2 Zn 0.500 0.500 0.500
3 Au 0.250 0.250 0.250
4 Au 0.750 0.750 0.750

Largest 6 diffraction maxima, in order of falling intensity, 2θ from 10° to 80°:
- 39.25 deg, rel. 1000
- 27.48 deg, rel. 459
- 71.15 deg, rel. 349
- 64.16 deg, rel. 183
- 56.72 deg, rel. 171
- 48.58 deg, rel. 136



For CeMg14BO16, DFT lattice parameters and positions (PBE) gives the computed powder XRD pattern in this record (Cu Ka).

Structure:
Cell: 8.764 8.764 4.375 Å, 90.00 90.00 90.00°
Atoms (fractional coordinates):
1 Ce 0.000 0.000 0.000
2 Mg 0.000 0.269 0.500
3 Mg 0.000 0.500 0.000
4 Mg 0.000 0.731 0.500
5 Mg 0.257 0.500 0.500
6 Mg 0.265 0.265 0.000
7 Mg 0.265 0.735 0.000
8 Mg 0.269 0.000 0.500
9 Mg 0.500 0.000 0.000
10 Mg 0.500 0.257 0.500
11 Mg 0.500 0.743 0.500
12 Mg 0.731 0.000 0.500
13 Mg 0.735 0.265 0.000
14 Mg 0.735 0.735 0.000
15 Mg 0.743 0.500 0.500
16 B 0.500 0.500 0.000
17 O 0.000 0.000 0.500
18 O 0.000 0.264 0.000
19 O 0.000 0.500 0.500
20 O 0.000 0.736 0.000
21 O 0.234 0.500 0.000
22 O 0.250 0.250 0.500
23 O 0.250 0.750 0.500
24 O 0.264 0.000 0.000
25 O 0.500 0.000 0.500
26 O 0.500 0.234 0.000
27 O 0.500 0.500 0.500
28 O 0.500 0.766 0.000
29 O 0.736 0.000 0.000
30 O 0.750 0.250 0.500
31 O 0.750 0.750 0.500
32 O 0.766 0.500 0.000

Largest 6 diffraction maxima, in order of falling intensity, 2θ from 10° to 80°:
- 41.23 deg, rel. 1000
- 59.72 deg, rel. 564
- 10.09 deg, rel. 415
- 22.70 deg, rel. 390
- 30.62 deg, rel. 326
- 35.50 deg, rel. 204



For Ca5Hg3, DFT lattice parameters and positions (PBE) gives the computed powder XRD pattern in this record (Cu Ka).

Structure:
Cell: 9.433 9.433 9.433 Å, 128.15 128.15 76.38°
Atoms (fractional coordinates):
1 Ca 0.000 0.000 0.000
2 Ca 0.017 0.517 0.829
3 Ca 0.188 0.017 0.500
4 Ca 0.312 0.812 0.829
5 Ca 0.483 0.312 0.500
6 Ca 0.500 0.500 0.000
7 Ca 0.517 0.688 0.500
8 Ca 0.688 0.188 0.171
9 Ca 0.812 0.983 0.500
10 Ca 0.983 0.483 0.171
11 Hg 0.135 0.365 0.500
12 Hg 0.250 0.250 0.000
13 Hg 0.365 0.865 0.231
14 Hg 0.635 0.135 0.769
15 Hg 0.750 0.750 0.000
16 Hg 0.865 0.635 0.500

Largest 6 diffraction maxima, in order of falling intensity, 2θ from 10° to 80°:
- 30.23 deg, rel. 1000
- 19.36 deg, rel. 833
- 34.38 deg, rel. 612
- 24.87 deg, rel. 436
- 42.37 deg, rel. 351
- 24.01 deg, rel. 308



For TiAsRu, DFT lattice parameters and positions (PBE) gives the computed powder XRD pattern in this record (Cu Ka).

Structure:
Cell: 7.497 7.497 7.497 Å, 121.23 82.19 128.13°
Atoms (fractional coordinates):
1 Ti 0.001 0.250 0.251
2 Ti 0.418 0.384 0.533
3 Ti 0.429 0.874 0.055
4 Ti 0.819 0.374 0.945
5 Ti 0.851 0.884 0.467
6 Ti 0.999 0.750 0.749
7 As 0.086 0.421 0.669
8 As 0.086 0.917 0.164
9 As 0.381 0.164 0.717
10 As 0.447 0.664 0.283
11 As 0.752 0.417 0.331
12 As 0.752 0.921 0.836
13 Ru 0.169 0.333 0.915
14 Ru 0.169 0.755 0.336
15 Ru 0.419 0.255 0.085
16 Ru 0.419 0.833 0.664
17 Ru 0.667 0.167 0.500
18 Ru 0.667 0.667 0.000

Largest 6 diffraction maxima, in order of falling intensity, 2θ from 10° to 80°:
- 36.77 deg, rel. 1000
- 40.15 deg, rel. 758
- 42.26 deg, rel. 507
- 49.29 deg, rel. 420
- 49.56 deg, rel. 294
- 24.19 deg, rel. 292